Structure and computed X-ray diffraction stick pattern of PmSc2Zn2In2 (DFT lattice parameters and positions (GGA-PBE); Cu Kα (weighted mean of Kα1 and Kα2)).

Main lines, low angle first (2θ from 10° to 90°):
(1 0 4), 26.05 deg, I = 67; (1 0 7), 32.92 deg, I = 83; (0 1 8), 35.65 deg, I = 28; (1 1 0), 38.64 deg, I = 100; (0 1 11), 44.71 deg, I = 14; (0 2 4), 47.19 deg, I = 14; (0 2 7), 51.64 deg, I = 22; (1 0 16), 62.01 deg, I = 14; (2 1 7), 66.32 deg, I = 20; (3 0 0), 69.92 deg, I = 16

```
data_PmSc2Zn2In2
_chemical_formula_sum 'Pm3 Sc6 Zn6 In6'
_space_group_name_H-M_alt 'R -3 m'
_space_group_IT_number 166
_space_group_name_Hall '-R 3 2"'
_cell_length_a 4.6606
_cell_length_b 4.6606
_cell_length_c 25.7849
_cell_angle_alpha 90.00
_cell_angle_beta 90.00
_cell_angle_gamma 120.00
loop_
_atom_site_label
_atom_site_type_symbol
_atom_site_fract_x
_atom_site_fract_y
_atom_site_fract_z
Pm1 Pm 0.0000 0.0000 0.0000
Sc1 Sc 0.0000 0.0000 0.1362
Zn1 Zn 0.0000 0.0000 0.4405
In1 In 0.0000 0.0000 0.2592
```